Starting from a structure optimized by DFT (PBE+U), the powder X-ray diffraction pattern of Na3FeAsCO7 was simulated for Cu Kα (weighted mean of Kα1 and Kα2).

Peak list (12 most intense, 15 to 90 degrees two-theta, low angle first)
h k l, 2θ (°), I_rel
1 0 -1, 19.1, 36
1 1 1, 23.4, 36
1 0 -2, 25.3, 37
0 2 0, 26.0, 100
1 1 2, 29.0, 42
1 2 -1, 32.4, 46
0 2 2, 32.6, 51
1 0 -3, 33.4, 28
2 0 0, 33.8, 64
1 1 3, 36.6, 30
0 2 4, 47.6, 42
0 4 0, 53.4, 30

Structure:
Lattice parameters (Å, degrees): 5.3119 6.8606 9.2092 90.00 91.27 90.00
Atoms (fractional coordinates):
Na1 0.2321 0.2500 0.0800
Na2 0.2508 0.5035 0.7420
Na3 0.2508 0.9965 0.7420
Na4 0.7492 0.0035 0.2580
Na5 0.7492 0.4965 0.2580
Na6 0.7679 0.7500 0.9200
Fe1 0.2187 0.7500 0.3435
Fe2 0.7813 0.2500 0.6565
As1 0.2983 0.2500 0.4157
As2 0.7017 0.7500 0.5843
C1 0.2836 0.7500 0.0551
C2 0.7164 0.2500 0.9449
O1 0.0625 0.7500 0.1142
O2 0.1592 0.2500 0.5815
O3 0.2158 0.0531 0.3071
O4 0.2158 0.4469 0.3071
O5 0.3029 0.7500 0.9150
O6 0.3780 0.7500 0.5586
O7 0.4846 0.7500 0.1392
O8 0.5154 0.2500 0.8608
O9 0.6220 0.2500 0.4414
O10 0.6971 0.2500 0.0850
O11 0.7842 0.5531 0.6929
O12 0.7842 0.9469 0.6929
O13 0.8408 0.7500 0.4185
O14 0.9375 0.2500 0.8858